Theoretical powder X-ray diffraction pattern
Compound: RbTiIn2Cl6
Radiation: Cu Kα (λ = 1.5418 Å)
Structure: a crystal structure in Alexandria, relaxed with GGA-PBE
Kinematic intensities with the Lorentz-polarization factor, no thermal factor.

Main lines, by angle (10 to 80 degrees two-theta):
two_theta	I/Imax
16.2	443
22.7	1000
23.2	589
23.3	293
27.0	228
32.7	615
36.4	337
36.5	400
40.6	376
40.8	318

Atomic structure:
a b c (Å): 7.647 7.678 7.810
angles (deg): 60.80 60.71 60.16
Positions (direct):
1 Rb 0.000 0.000 0.000
2 Ti 0.491 0.491 0.526
3 In 0.285 0.287 0.143
4 In 0.793 0.791 0.624
5 Cl 0.168 0.393 0.760
6 Cl 0.276 0.802 0.321
7 Cl 0.392 0.675 0.763
8 Cl 0.602 0.277 0.319
9 Cl 0.676 0.170 0.761
10 Cl 0.803 0.602 0.321



Theoretical powder X-ray diffraction pattern
Compound: Zn2Cu5Au2
Radiation: Cu Kα (λ = 1.5418 Å)
Structure: a crystal structure in Alexandria, relaxed with GGA-PBE
Kinematic intensities with the Lorentz-polarization factor, no thermal factor.

Main lines, by angle (10 to 80 degrees two-theta):
two_theta	I/Imax
21.8	191
22.6	250
29.0	280
30.7	262
39.3	511
41.0	700
42.8	884
43.1	1000
46.2	754
69.1	275

Atomic structure:
a b c (Å): 6.664 6.664 8.641
angles (deg): 103.46 103.46 41.96
Positions (direct):
1 Zn 0.052 0.052 0.386
2 Zn 0.380 0.382 0.719
3 Zn 0.618 0.620 0.281
4 Zn 0.948 0.948 0.614
5 Cu 0.011 0.657 0.336
6 Cu 0.131 0.746 0.117
7 Cu 0.254 0.869 0.883
8 Cu 0.285 0.265 0.943
9 Cu 0.343 0.989 0.664
10 Cu 0.487 0.075 0.453
11 Cu 0.585 0.181 0.220
12 Cu 0.735 0.715 0.057
13 Cu 0.819 0.415 0.780
14 Cu 0.925 0.513 0.547
15 Au 0.186 0.160 0.173
16 Au 0.500 0.500 0.500
17 Au 0.671 0.329 0.000
18 Au 0.840 0.814 0.827



Theoretical powder X-ray diffraction pattern
Compound: CeTh4H10
Radiation: Cu Kα (λ = 1.5418 Å)
Structure: a crystal structure in Alexandria, relaxed with GGA-PBE
Kinematic intensities with the Lorentz-polarization factor, no thermal factor.

Main lines, by angle (10 to 80 degrees two-theta):
two_theta	I/Imax
28.3	1000
32.2	172
33.0	327
46.8	265
47.3	128
55.1	162
56.1	306
58.4	134
75.5	129
76.4	63

Atomic structure:
a b c (Å): 6.676 6.676 6.676
angles (deg): 99.96 99.96 130.85
Positions (direct):
1 Ce 0.000 0.000 0.000
2 Th 0.201 0.600 0.801
3 Th 0.400 0.201 0.600
4 Th 0.600 0.799 0.400
5 Th 0.799 0.400 0.199
6 H 0.050 0.151 0.697
7 H 0.151 0.454 0.101
8 H 0.250 0.750 0.500
9 H 0.353 0.050 0.899
10 H 0.454 0.353 0.303
11 H 0.546 0.647 0.697
12 H 0.647 0.950 0.101
13 H 0.750 0.250 0.500
14 H 0.849 0.546 0.899
15 H 0.950 0.849 0.303